1.
Calculated PXRD pattern
Compound: Mg3NpGa4
Radiation: Cu Kα (λ = 1.5418 Å)
Structure: a structure optimized by DFT (GGA-PBE)

Peak list (12 most intense, 10° ≤ 2θ ≤ 90°, low angle first)
d 7.079, intensity 28; d 4.738, intensity 31; d 3.937, intensity 40; d 3.028, intensity 27; d 2.836, intensity 18; d 2.433, intensity 100; d 2.369, intensity 47; d 2.030, intensity 14; d 1.675, intensity 16; d 1.418, intensity 17; d 1.380, intensity 33; d 1.216, intensity 11

Structure:
Cell: 4.738 4.738 7.079 Å, 90.00 90.00 90.00°
Space group P4/mmm (No. 123)
Symmetry-distinct sites (fractional):
Mg 0.000 0.000 0.000 x1
Mg 0.000 0.000 0.500 x1
Mg 0.500 0.500 0.000 x1
Np 0.500 0.500 0.500 x1
Ga 0.000 0.500 0.236 x4

***

2.
Calculated PXRD pattern
Compound: Tb9Tm4Al11
Radiation: Cu Kα (λ = 1.5418 Å)
Structure: a structure optimized by DFT (GGA-PBE)

Peak list (12 most intense, 10° ≤ 2θ ≤ 90°, low angle first)
d 3.845, intensity 34; d 3.705, intensity 51; d 3.374, intensity 78; d 2.700, intensity 31; d 2.668, intensity 57; d 2.647, intensity 36; d 2.533, intensity 100; d 2.495, intensity 73; d 2.261, intensity 36; d 2.093, intensity 35; d 1.688, intensity 34; d 1.510, intensity 35

Structure:
Cell: 15.379 22.229 3.374 Å, 90.00 90.00 90.00°
Space group Cmmm (No. 65)
Symmetry-distinct sites (fractional):
Tb 0.000 0.000 0.000 x2
Tb 0.110 0.406 0.000 x8
Tb 0.112 0.227 0.000 x8
Tm 0.173 0.084 0.000 x8
Al 0.000 0.122 0.500 x4
Al 0.000 0.315 0.500 x4
Al 0.000 0.500 0.500 x2
Al 0.208 0.500 0.500 x4
Al 0.228 0.315 0.500 x8